# 1
The following is a theoretical powder diffractogram of K2UF6. It was derived from a structure optimized by DFT (GGA-PBE), using Cu Kα.
Peak positions follow from Bragg's law for the DFT cell and can differ from measured ones.

The 10 most intense peaks (10° ≤ 2θ ≤ 80°), by angle:
2θ = 14.18°, d = 6.245 Å, rel. 44.7, (0 0 2)
2θ = 15.98°, d = 5.545 Å, rel. 65.6, (0 1 1)
2θ = 22.56°, d = 3.940 Å, rel. 27.2, (1 0 1)
2θ = 25.81°, d = 3.451 Å, rel. 100.0, (0 1 3)
2θ = 29.59°, d = 3.019 Å, rel. 20.8, (1 1 2)
2θ = 38.90°, d = 2.315 Å, rel. 16.4, (0 1 5)
2θ = 42.41°, d = 2.131 Å, rel. 44.1, (1 2 3)
2θ = 49.32°, d = 1.848 Å, rel. 16.5, (1 3 0)
2θ = 51.31°, d = 1.781 Å, rel. 29.4, (2 1 3)
2θ = 67.86°, d = 1.381 Å, rel. 13.4, (1 3 6)

Atomic structure:
Cell lengths 4.1526, 6.1881, 12.4894 Å; angles 90.00, 90.00, 90.00 degrees
Space group Immm (No. 71)
Inequivalent atoms, fractional coordinates:
K1 0.0000 0.0000 0.1675 [4 per cell]
U1 0.0000 0.0000 0.5000 [2 per cell]
F1 0.0000 0.2253 0.3616 [8 per cell]
F2 0.0000 0.3024 0.0000 [4 per cell]

***

# 2
The following is a theoretical powder diffractogram of InPb. It was derived from a structure optimized by DFT (GGA-PBE), using Cu Kα.
Peak positions follow from Bragg's law for the DFT cell and can differ from measured ones.

The 10 most intense peaks (10° ≤ 2θ ≤ 80°), by angle:
2θ = 15.61°, d = 5.677 Å, rel. 11.6, (0 0 3)
2θ = 31.23°, d = 2.864 Å, rel. 100.0, (0 1 2)
2θ = 31.52°, d = 2.839 Å, rel. 32.6, (0 0 6)
2θ = 36.30°, d = 2.475 Å, rel. 67.2, (1 0 4)
2θ = 52.09°, d = 1.756 Å, rel. 24.0, (1 1 0)
2θ = 52.47°, d = 1.744 Å, rel. 23.5, (0 1 8)
2θ = 62.00°, d = 1.497 Å, rel. 14.2, (2 0 2)
2θ = 62.17°, d = 1.493 Å, rel. 28.2, (1 1 6)
2θ = 62.50°, d = 1.486 Å, rel. 13.9, (1 0 10)
2θ = 65.14°, d = 1.432 Å, rel. 12.3, (0 2 4)

Atomic structure:
Cell lengths 3.5116, 3.5116, 17.0319 Å; angles 90.00, 90.00, 120.00 degrees
Space group R-3m (No. 166, hexagonal axes)
Inequivalent atoms, fractional coordinates:
In1 0.0000 0.0000 0.0000 [3 per cell]
Pb1 0.0000 0.0000 0.5000 [3 per cell]

***

# 3
The following is a theoretical powder diffractogram of YMgWS4. It was derived from a structure optimized by DFT (GGA-PBE), using Cu Kα.
Peak positions follow from Bragg's law for the DFT cell and can differ from measured ones.

The 10 most intense peaks (10° ≤ 2θ ≤ 80°), by angle:
2θ = 14.21°, d = 6.233 Å, rel. 100.0, (0 1 1)
2θ = 27.39°, d = 3.256 Å, rel. 54.4, (2 1 1)
2θ = 27.58°, d = 3.234 Å, rel. 27.3, (0 1 3)
2θ = 33.12°, d = 2.705 Å, rel. 47.6, (2 2 0)
2θ = 33.49°, d = 2.676 Å, rel. 22.9, (0 0 4)
2θ = 43.44°, d = 2.083 Å, rel. 22.4, (2 3 1)
2θ = 43.91°, d = 2.062 Å, rel. 10.8, (0 1 5)
2θ = 47.68°, d = 1.907 Å, rel. 10.9, (4 0 0)
2θ = 47.81°, d = 1.902 Å, rel. 41.1, (2 2 4)
2θ = 49.99°, d = 1.824 Å, rel. 15.2, (4 1 1)

Atomic structure:
Cell lengths 7.6287, 7.6736, 10.7041 Å; angles 90.00, 90.00, 90.00 degrees
Space group Imma (No. 74)
Inequivalent atoms, fractional coordinates:
Y1 0.0000 0.0000 0.0000 [4 per cell]
Mg1 0.0000 0.2500 0.3761 [4 per cell]
W1 0.2500 0.2500 0.7500 [4 per cell]
S1 0.0000 0.0308 0.7455 [8 per cell]
S2 0.2489 0.2500 0.9832 [8 per cell]

***

# 4
The following is a theoretical powder diffractogram of KCr5Te8. It was derived from a structure optimized by DFT (GGA-PBE), using Cu Kα.
Peak positions follow from Bragg's law for the DFT cell and can differ from measured ones.

The 10 most intense peaks (10° ≤ 2θ ≤ 80°), by angle:
2θ = 11.28°, d = 7.843 Å, rel. 16.0, (2 0 -1)
2θ = 28.80°, d = 3.099 Å, rel. 100.0, (3 1 1)
2θ = 28.93°, d = 3.087 Å, rel. 37.0, (6 0 -2)
2θ = 30.20°, d = 2.959 Å, rel. 52.9, (3 1 -2)
2θ = 30.92°, d = 2.892 Å, rel. 23.6, (6 0 1)
2θ = 34.36°, d = 2.610 Å, rel. 29.9, (6 0 -3)
2θ = 36.35°, d = 2.471 Å, rel. 17.2, (3 1 -3)
2θ = 44.96°, d = 2.016 Å, rel. 22.0, (0 2 0)
2θ = 45.78°, d = 1.982 Å, rel. 41.1, (9 1 -1)
2θ = 54.31°, d = 1.689 Å, rel. 20.5, (6 2 -2)

Atomic structure:
Cell lengths 20.4869, 4.0328, 9.6156 Å; angles 90.00, 104.61, 90.00 degrees
Space group C2/m (No. 12)
Inequivalent atoms, fractional coordinates:
K1 0.0000 0.0000 0.0000 [2 per cell]
Cr1 0.0000 0.5000 0.5000 [2 per cell]
Cr2 0.1592 0.0000 0.4865 [4 per cell]
Cr3 0.2043 0.0000 0.8314 [4 per cell]
Te1 0.0725 0.0000 0.6628 [4 per cell]
Te2 0.0881 0.5000 0.3300 [4 per cell]
Te3 0.1704 0.5000 0.9909 [4 per cell]
Te4 0.2397 0.5000 0.6580 [4 per cell]

***

# 5
The following is a theoretical powder diffractogram of YNp3. It was derived from a structure optimized by DFT (GGA-PBE), using Cu Kα.
Peak positions follow from Bragg's law for the DFT cell and can differ from measured ones.

The 10 most intense peaks (10° ≤ 2θ ≤ 80°), by angle:
2θ = 19.29°, d = 4.601 Å, rel. 3.0, (0 0 2)
2θ = 21.60°, d = 4.114 Å, rel. 9.2, (1 0 1)
2θ = 33.75°, d = 2.656 Å, rel. 100.0, (1 1 2)
2θ = 35.17°, d = 2.552 Å, rel. 2.9, (1 0 3)
2θ = 39.17°, d = 2.300 Å, rel. 50.4, (2 0 0)
2θ = 45.16°, d = 2.008 Å, rel. 3.0, (2 1 1)
2θ = 53.64°, d = 1.709 Å, rel. 2.8, (2 1 3)
2θ = 56.59°, d = 1.626 Å, rel. 35.2, (2 2 0)
2θ = 67.53°, d = 1.387 Å, rel. 41.8, (3 1 2)
2θ = 70.98°, d = 1.328 Å, rel. 12.1, (2 2 4)

Atomic structure:
Cell lengths 4.5998, 4.5998, 9.2015 Å; angles 90.00, 90.00, 90.00 degrees
Space group I4/mmm (No. 139)
Inequivalent atoms, fractional coordinates:
Y1 0.0000 0.0000 0.0000 [2 per cell]
Np1 0.0000 0.0000 0.5000 [2 per cell]
Np2 0.0000 0.5000 0.2500 [4 per cell]

***

# 6
The following is a theoretical powder diffractogram of AsSI2F6. It was derived from a structure optimized by DFT (GGA-PBE), using Cu Kα.
Peak positions follow from Bragg's law for the DFT cell and can differ from measured ones.

The 10 most intense peaks (10° ≤ 2θ ≤ 80°), by angle:
2θ = 13.31°, d = 6.653 Å, rel. 23.2, (0 2 0)
2θ = 18.30°, d = 4.848 Å, rel. 23.4, (0 2 2)
2θ = 21.40°, d = 4.152 Å, rel. 60.0, (1 1 -3)
2θ = 22.05°, d = 4.031 Å, rel. 78.9, (1 3 0)
2θ = 23.13°, d = 3.846 Å, rel. 100.0, (0 2 3)
2θ = 27.03°, d = 3.299 Å, rel. 19.4, (1 1 -4)
2θ = 29.97°, d = 2.981 Å, rel. 20.8, (3 1 1)
2θ = 32.93°, d = 2.720 Å, rel. 20.8, (0 4 3)
2θ = 33.09°, d = 2.707 Å, rel. 20.7, (2 4 -1)
2θ = 44.73°, d = 2.026 Å, rel. 20.5, (3 3 4)

Atomic structure:
Cell lengths 9.6033, 13.3348, 14.1722 Å; angles 90.00, 94.71, 90.00 degrees
Space group C2/c (No. 15)
Inequivalent atoms, fractional coordinates:
As1 0.0000 0.0000 0.0000 [4 per cell]
As2 0.0000 0.3224 0.2500 [4 per cell]
S1 0.0970 0.1928 0.7538 [8 per cell]
I1 0.1200 0.3609 0.9190 [8 per cell]
I2 0.1522 0.3378 0.6126 [8 per cell]
F1 0.0699 0.0293 0.3915 [8 per cell]
F2 0.0932 0.1166 0.0039 [8 per cell]
F3 0.0993 0.3204 0.3617 [8 per cell]
F4 0.1106 0.4161 0.2083 [8 per cell]
F5 0.1128 0.2281 0.2103 [8 per cell]
F6 0.1454 0.0586 0.5623 [8 per cell]

***

# 7
The following is a theoretical powder diffractogram of Na3IrN2. It was derived from a structure optimized by DFT (GGA-PBE), using Cu Kα.
Peak positions follow from Bragg's law for the DFT cell and can differ from measured ones.

The 10 most intense peaks (10° ≤ 2θ ≤ 80°), by angle:
2θ = 19.82°, d = 4.479 Å, rel. 100.0, (1 1 0)
2θ = 20.47°, d = 4.338 Å, rel. 86.5, (1 1 -2)
2θ = 21.39°, d = 4.154 Å, rel. 31.7, (0 0 2)
2θ = 23.04°, d = 3.860 Å, rel. 41.8, (2 0 -2)
2θ = 30.78°, d = 2.905 Å, rel. 23.8, (2 0 0)
2θ = 32.49°, d = 2.756 Å, rel. 25.5, (2 0 -4)
2θ = 33.39°, d = 2.683 Å, rel. 45.2, (0 2 2)
2θ = 34.51°, d = 2.599 Å, rel. 39.9, (2 2 -2)
2θ = 39.34°, d = 2.290 Å, rel. 23.7, (3 1 -4)
2θ = 40.24°, d = 2.241 Å, rel. 25.9, (1 3 -1)

Atomic structure:
Cell lengths 7.7313, 7.0313, 11.0542 Å; angles 90.00, 131.28, 90.00 degrees
Space group P2_1/c (No. 14)
Inequivalent atoms, fractional coordinates:
Na1 0.1424 0.0102 0.4453 [4 per cell]
Na2 0.1945 0.0183 0.9584 [4 per cell]
Na3 0.3354 0.7299 0.7415 [4 per cell]
Ir1 0.2619 0.2020 0.2518 [4 per cell]
N1 0.0392 0.2484 0.5410 [4 per cell]
N2 0.4596 0.0658 0.4514 [4 per cell]

***

# 8
The following is a theoretical powder diffractogram of CaMg6Cu. It was derived from a structure optimized by DFT (GGA-PBE), using Cu Kα.
Peak positions follow from Bragg's law for the DFT cell and can differ from measured ones.

The 10 most intense peaks (10° ≤ 2θ ≤ 80°), by angle:
2θ = 15.95°, d = 5.558 Å, rel. 29.1, (0 1 1)
2θ = 23.36°, d = 3.808 Å, rel. 14.2, (1 0 2)
2θ = 32.23°, d = 2.777 Å, rel. 47.8, (0 2 2)
2θ = 35.28°, d = 2.544 Å, rel. 54.8, (1 0 4)
2θ = 36.13°, d = 2.486 Å, rel. 39.6, (2 0 0)
2θ = 37.06°, d = 2.426 Å, rel. 100.0, (1 2 2)
2θ = 49.17°, d = 1.853 Å, rel. 17.6, (2 2 2)
2θ = 65.58°, d = 1.424 Å, rel. 16.9, (3 2 2)
2θ = 67.50°, d = 1.388 Å, rel. 13.1, (2 2 6)
2θ = 70.35°, d = 1.338 Å, rel. 14.0, (1 4 4)

Atomic structure:
Cell lengths 4.9725, 6.2934, 11.8442 Å; angles 90.00, 90.00, 90.00 degrees
Space group Amm2 (No. 38)
Inequivalent atoms, fractional coordinates:
Ca1 0.0000 0.0000 0.0000 [2 per cell]
Mg1 0.0000 0.0000 0.5304 [2 per cell]
Mg2 0.0000 0.2460 0.7667 [4 per cell]
Mg3 0.5000 0.0000 0.3724 [2 per cell]
Mg4 0.5000 0.2435 0.6257 [4 per cell]
Cu1 0.5000 0.0000 0.8288 [2 per cell]

***

# 9
The following is a theoretical powder diffractogram of Rb2PH3SeO8. It was derived from a structure optimized by DFT (GGA-PBE), using Cu Kα.
Peak positions follow from Bragg's law for the DFT cell and can differ from measured ones.

The 10 most intense peaks (10° ≤ 2θ ≤ 80°), by angle:
2θ = 22.83°, d = 3.894 Å, rel. 100.0, (0 0 2)
2θ = 25.55°, d = 3.487 Å, rel. 58.5, (0 2 1)
2θ = 26.07°, d = 3.419 Å, rel. 85.3, (2 1 -2)
2θ = 26.64°, d = 3.346 Å, rel. 29.7, (2 1 -1)
2θ = 31.78°, d = 2.816 Å, rel. 33.5, (2 1 0)
2θ = 32.50°, d = 2.755 Å, rel. 24.1, (0 2 2)
2θ = 37.87°, d = 2.376 Å, rel. 26.3, (2 1 -4)
2θ = 42.47°, d = 2.129 Å, rel. 26.2, (2 3 -1)
2θ = 44.98°, d = 2.015 Å, rel. 15.5, (2 3 -3)
2θ = 52.34°, d = 1.748 Å, rel. 11.3, (2 3 1)

Atomic structure:
Cell lengths 7.7450, 7.8040, 9.9789 Å; angles 90.00, 128.77, 90.00 degrees
Space group Pc (No. 7)
Inequivalent atoms, fractional coordinates:
Rb1 0.0000 0.0643 0.0000 [2 per cell]
Rb2 0.2076 0.4347 0.4274 [2 per cell]
P1 0.7637 0.4425 0.4633 [2 per cell]
H1 0.5063 0.3507 0.8359 [2 per cell]
H2 0.6348 0.2621 0.2367 [2 per cell]
H3 0.7373 0.2273 0.5993 [2 per cell]
Se1 0.4696 0.0632 0.9677 [2 per cell]
O1 0.2639 0.0761 0.3854 [2 per cell]
O2 0.4422 0.2190 0.0711 [2 per cell]
O3 0.4566 0.1570 0.8097 [2 per cell]
O4 0.5203 0.4823 0.8309 [2 per cell]
O5 0.7179 0.0315 0.6066 [2 per cell]
O6 0.7790 0.2943 0.3644 [2 per cell]
O7 0.7790 0.3551 0.6143 [2 per cell]
O8 0.9433 0.4271 0.0368 [2 per cell]

***

# 10
The following is a theoretical powder diffractogram of WN2. It was derived from a structure optimized by DFT (GGA-PBE), using Cu Kα.
Peak positions follow from Bragg's law for the DFT cell and can differ from measured ones.

The 10 most intense peaks (10° ≤ 2θ ≤ 80°), by angle:
2θ = 24.64°, d = 3.614 Å, rel. 100.0, (1 1 0)
2θ = 27.05°, d = 3.297 Å, rel. 89.2, (0 0 2)
2θ = 28.61°, d = 3.120 Å, rel. 47.7, (4 0 -1)
2θ = 32.37°, d = 2.766 Å, rel. 39.1, (3 1 0)
2θ = 32.57°, d = 2.749 Å, rel. 41.0, (3 1 -1)
2θ = 35.90°, d = 2.501 Å, rel. 30.8, (4 0 1)
2θ = 37.64°, d = 2.390 Å, rel. 38.5, (3 1 1)
2θ = 38.17°, d = 2.358 Å, rel. 40.5, (3 1 -2)
2θ = 56.30°, d = 1.634 Å, rel. 28.4, (7 1 -1)
2θ = 58.49°, d = 1.578 Å, rel. 33.9, (4 0 3)

Atomic structure:
Cell lengths 12.6855, 3.7848, 6.8818 Å; angles 90.00, 106.62, 90.00 degrees
Space group C2/m (No. 12)
Inequivalent atoms, fractional coordinates:
W1 0.0980 0.0000 0.2124 [4 per cell]
W2 0.1915 0.0000 0.7761 [4 per cell]
N1 0.0560 0.0000 0.8606 [4 per cell]
N2 0.1340 0.0000 0.5015 [4 per cell]
N3 0.1399 0.5000 0.2071 [4 per cell]
N4 0.2370 0.5000 0.8536 [4 per cell]

***

# 11
The following is a theoretical powder diffractogram of Li2TiI6O18. It was derived from a structure optimized by DFT (GGA-PBE), using Cu Kα.
Peak positions follow from Bragg's law for the DFT cell and can differ from measured ones.

The 10 most intense peaks (10° ≤ 2θ ≤ 80°), by angle:
2θ = 18.61°, d = 4.767 Å, rel. 19.8, (1 1 0)
2θ = 25.38°, d = 3.509 Å, rel. 100.0, (1 1 1)
2θ = 32.53°, d = 2.752 Å, rel. 22.2, (3 0 0)
2θ = 34.61°, d = 2.591 Å, rel. 6.6, (0 0 2)
2θ = 39.58°, d = 2.277 Å, rel. 8.8, (1 1 2)
2θ = 41.71°, d = 2.166 Å, rel. 15.3, (4 -2 1)
2θ = 48.23°, d = 1.887 Å, rel. 21.7, (0 3 2)
2θ = 53.87°, d = 1.702 Å, rel. 15.4, (4 1 1)
2θ = 56.67°, d = 1.624 Å, rel. 8.0, (2 -1 3)
2θ = 66.88°, d = 1.399 Å, rel. 5.9, (4 -2 3)

Atomic structure:
Cell lengths 9.5349, 9.5349, 5.1829 Å; angles 90.00, 90.00, 120.00 degrees
Space group P3 (No. 143)
Inequivalent atoms, fractional coordinates:
Li1 0.0000 0.0000 0.0000 [1 per cell]
Li2 0.3333 0.6667 0.5040 [1 per cell]
Ti1 0.6667 0.3333 0.0612 [1 per cell]
I1 0.0281 0.3662 0.9413 [3 per cell]
I2 0.3236 0.3058 0.4286 [3 per cell]
O1 0.0574 0.2191 0.7588 [3 per cell]
O2 0.1140 0.5372 0.7207 [3 per cell]
O3 0.1705 0.7233 0.2679 [3 per cell]
O4 0.2168 0.1279 0.2261 [3 per cell]
O5 0.4811 0.1917 0.8435 [3 per cell]
O6 0.5318 0.3905 0.2803 [3 per cell]

***

# 12
The following is a theoretical powder diffractogram of Ta2CrRe. It was derived from a structure optimized by DFT (GGA-PBE), using Cu Kα.
Peak positions follow from Bragg's law for the DFT cell and can differ from measured ones.

The 10 most intense peaks (10° ≤ 2θ ≤ 80°), by angle:
2θ = 24.41°, d = 3.647 Å, rel. 11.5, (1 1 1)
2θ = 28.25°, d = 3.159 Å, rel. 5.1, (2 0 0)
2θ = 40.38°, d = 2.233 Å, rel. 100.0, (2 2 0)
2θ = 47.75°, d = 1.905 Å, rel. 6.2, (3 1 1)
2θ = 50.01°, d = 1.824 Å, rel. 1.5, (2 2 2)
2θ = 58.44°, d = 1.579 Å, rel. 16.9, (4 0 0)
2θ = 64.27°, d = 1.449 Å, rel. 2.7, (3 3 1)
2θ = 66.15°, d = 1.413 Å, rel. 2.1, (4 2 0)
2θ = 73.43°, d = 1.290 Å, rel. 34.4, (4 2 2)
2θ = 78.71°, d = 1.216 Å, rel. 2.1, (5 1 1)

Atomic structure:
Cell lengths 6.3173, 6.3173, 6.3173 Å; angles 90.00, 90.00, 90.00 degrees
Space group Fm-3m (No. 225)
Inequivalent atoms, fractional coordinates:
Ta1 0.2500 0.2500 0.2500 [8 per cell]
Cr1 0.0000 0.0000 0.0000 [4 per cell]
Re1 0.0000 0.0000 0.5000 [4 per cell]